Diffraction record for AcHfAs. The X-ray powder pattern is calculated, not measured: it uses a crystal structure in Alexandria, relaxed with GGA-PBE and CuKα.

Atomic structure:
Cell: 7.585 7.585 6.087 Å, 90.00 90.00 90.00°
Space group P4_2/mmc (No. 131)
One atom of each set of equivalent atoms:
Ac1 0.000 0.271 0.000 (multiplicity 4)
Hf1 0.305 0.500 0.500 (multiplicity 4)
As1 0.000 0.292 0.500 (multiplicity 4)

Top 10 peaks for 10° ≤ 2θ ≤ 90°, low angle first:
26.3°, d = 3.392 Å, I 204
27.7°, d = 3.219 Å, I 1000
29.3°, d = 3.043 Å, I 544
33.4°, d = 2.682 Å, I 598
39.8°, d = 2.265 Å, I 138
45.1°, d = 2.012 Å, I 527
48.0°, d = 1.896 Å, I 173
51.1°, d = 1.789 Å, I 194
56.3°, d = 1.634 Å, I 177
57.2°, d = 1.609 Å, I 206